No. 1
The following is a theoretical PXRD pattern of Li8CuN3. It was derived from a GGA-PBE-relaxed structure, using Cu Kα, 1.54184 Å.

Peak list (8 most intense, 2θ from 10° to 90°, in order of rising 2θ)
d (Å), two_theta, I_rel
7.288, 12.1, 850
4.871, 18.2, 367
4.375, 20.3, 263
3.425, 26.0, 288
3.166, 28.2, 1000
3.037, 29.4, 206
1.828, 49.9, 361
1.625, 56.6, 213

Atomic structure:
Lattice parameters (Å, degrees): 5.2594 5.2594 7.3769 98.35 98.35 40.71
Sites, in units of the cell vectors:
Li1 0.0516 0.0516 0.3865
Li2 0.2841 0.2841 0.9497
Li3 0.3317 0.3317 0.3295
Li4 0.3993 0.3993 0.7296
Li5 0.6007 0.6007 0.2704
Li6 0.6683 0.6683 0.6705
Li7 0.7159 0.7159 0.0503
Li8 0.9484 0.9484 0.6135
Cu1 0.0000 0.0000 0.0000
N1 0.1639 0.1639 0.1644
N2 0.5000 0.5000 0.5000
N3 0.8361 0.8361 0.8356

---

No. 2
The following is a theoretical PXRD pattern of Li3CuN2. It was derived from a GGA-PBE-relaxed structure, using Cu Kα, 1.54184 Å.

Peak list (8 most intense, 2θ from 10° to 90°, in order of rising 2θ)
d (Å), two_theta, I_rel
3.932, 22.6, 1000
2.574, 34.9, 557
2.408, 37.3, 206
2.054, 44.1, 177
1.759, 52.0, 149
1.703, 53.8, 436
1.563, 59.1, 173
1.311, 72.1, 128

Atomic structure:
Lattice parameters (Å, degrees): 8.3416 8.3416 8.3416 109.47 109.47 109.47
Sites, in units of the cell vectors:
Li1 0.0070 0.9873 0.2453
Li2 0.0127 0.7547 0.9930
Li3 0.0197 0.5070 0.2617
Li4 0.2383 0.7453 0.7580
Li5 0.2420 0.7617 0.2547
Li6 0.2453 0.0070 0.9873
Li7 0.2547 0.2420 0.7617
Li8 0.2580 0.5127 0.5197
Li9 0.2617 0.0197 0.5070
Li10 0.4803 0.7420 0.4873
Li11 0.4873 0.4803 0.7420
Li12 0.4930 0.7383 0.9803
Li13 0.5070 0.2617 0.0197
Li14 0.5127 0.5197 0.2580
Li15 0.5197 0.2580 0.5127
Li16 0.7383 0.9803 0.4930
Li17 0.7420 0.4873 0.4803
Li18 0.7453 0.7580 0.2383
Li19 0.7547 0.9930 0.0127
Li20 0.7580 0.2383 0.7453
Li21 0.7617 0.2547 0.2420
Li22 0.9803 0.4930 0.7383
Li23 0.9873 0.2453 0.0070
Li24 0.9930 0.0127 0.7547
Cu1 0.0000 0.2435 0.5000
Cu2 0.0000 0.7565 0.5000
Cu3 0.2435 0.5000 0.0000
Cu4 0.2565 0.2565 0.2565
Cu5 0.5000 0.0000 0.2435
Cu6 0.5000 0.0000 0.7565
Cu7 0.7435 0.7435 0.7435
Cu8 0.7565 0.5000 0.0000
N1 0.0000 0.0000 0.5000
N2 0.0000 0.5000 0.0000
N3 0.0210 0.2500 0.2710
N4 0.2290 0.4790 0.7500
N5 0.2500 0.2710 0.0210
N6 0.2500 0.7710 0.5210
N7 0.2710 0.0210 0.2500
N8 0.4790 0.7500 0.2290
N9 0.5000 0.0000 0.0000
N10 0.5000 0.5000 0.5000
N11 0.5210 0.2500 0.7710
N12 0.7290 0.9790 0.7500
N13 0.7500 0.2290 0.4790
N14 0.7500 0.7290 0.9790
N15 0.7710 0.5210 0.2500
N16 0.9790 0.7500 0.7290

---

No. 3
The following is a theoretical PXRD pattern of Li2CuN. It was derived from a GGA-PBE-relaxed structure, using Cu Kα, 1.54184 Å.

Peak list (8 most intense, 2θ from 10° to 90°, in order of rising 2θ)
d (Å), two_theta, I_rel
4.053, 21.9, 1000
3.510, 25.4, 583
2.189, 41.3, 466
2.117, 42.7, 249
2.089, 43.3, 155
1.795, 50.9, 185
1.641, 56.0, 187
1.598, 57.7, 219

Atomic structure:
Lattice parameters (Å, degrees): 7.0200 4.9646 5.2001 90.00 90.00 90.00
Sites, in units of the cell vectors:
Li1 0.0644 0.1400 0.2500
Li2 0.0644 0.3600 0.7500
Li3 0.3778 0.2500 0.0000
Li4 0.3778 0.2500 0.5000
Li5 0.6222 0.7500 0.0000
Li6 0.6222 0.7500 0.5000
Li7 0.9356 0.6400 0.2500
Li8 0.9356 0.8600 0.7500
Cu1 0.2465 0.7500 0.0000
Cu2 0.2465 0.7500 0.5000
Cu3 0.7535 0.2500 0.0000
Cu4 0.7535 0.2500 0.5000
N1 0.2305 0.0210 0.7500
N2 0.2305 0.4790 0.2500
N3 0.7695 0.5210 0.7500
N4 0.7695 0.9790 0.2500

---

No. 4
The following is a theoretical PXRD pattern of NaLiCuP3O9. It was derived from a GGA-PBE-relaxed structure, using Cu Kα, 1.54184 Å.

Peak list (8 most intense, 2θ from 10° to 90°, in order of rising 2θ)
d (Å), two_theta, I_rel
5.211, 17.0, 419
4.086, 21.8, 786
3.968, 22.4, 386
3.707, 24.0, 756
3.640, 24.5, 406
2.885, 31.0, 1000
2.796, 32.0, 479
2.744, 32.6, 362

Atomic structure:
Lattice parameters (Å, degrees): 8.8104 9.1213 9.1576 90.00 90.00 90.00
Sites, in units of the cell vectors:
Na1 0.1378 0.0870 0.1049
Na2 0.3622 0.9130 0.6049
Na3 0.6378 0.4130 0.8951
Na4 0.8622 0.5870 0.3951
Li1 0.1230 0.4116 0.3326
Li2 0.3770 0.5884 0.8326
Li3 0.6230 0.0884 0.6674
Li4 0.8770 0.9116 0.1674
Cu1 0.1131 0.8581 0.3942
Cu2 0.3869 0.1419 0.8942
Cu3 0.6131 0.6419 0.6058
Cu4 0.8869 0.3581 0.1058
P1 0.0467 0.6748 0.0482
P2 0.0563 0.0559 0.7327
P3 0.2207 0.5661 0.5702
P4 0.2793 0.4339 0.0702
P5 0.4437 0.9441 0.2327
P6 0.4533 0.3252 0.5482
P7 0.5467 0.8252 0.9518
P8 0.5563 0.4441 0.2673
P9 0.7207 0.9339 0.4298
P10 0.7793 0.0661 0.9298
P11 0.9437 0.5559 0.7673
P12 0.9533 0.1748 0.4518
O1 0.0154 0.1861 0.6167
O2 0.0497 0.0806 0.3538
O3 0.0709 0.8314 0.0952
O4 0.1073 0.9244 0.6487
O5 0.1144 0.5190 0.7044
O6 0.1306 0.6139 0.4382
O7 0.1509 0.1221 0.8518
O8 0.1547 0.3402 0.1332
O9 0.2119 0.5942 0.0210
O10 0.2881 0.4058 0.5210
O11 0.3453 0.6598 0.6332
O12 0.3491 0.8779 0.3518
O13 0.3694 0.3861 0.9382
O14 0.3856 0.4810 0.2044
O15 0.3927 0.0756 0.1487
O16 0.4291 0.1686 0.5952
O17 0.4503 0.9194 0.8538
O18 0.4846 0.8139 0.1167
O19 0.5154 0.3139 0.3833
O20 0.5497 0.4194 0.6462
O21 0.5709 0.6686 0.9048
O22 0.6073 0.5756 0.3513
O23 0.6144 0.9810 0.2956
O24 0.6306 0.8861 0.5618
O25 0.6509 0.3779 0.1482
O26 0.6547 0.1598 0.8668
O27 0.7119 0.9058 0.9790
O28 0.7881 0.0942 0.4790
O29 0.8453 0.8402 0.3668
O30 0.8491 0.6221 0.6482
O31 0.8694 0.1139 0.0618
O32 0.8856 0.0190 0.7956
O33 0.8927 0.4244 0.8513
O34 0.9291 0.3314 0.4048
O35 0.9503 0.5806 0.1462
O36 0.9846 0.6861 0.8833

---

No. 5
The following is a theoretical PXRD pattern of Li5Nb2Cu5O12. It was derived from a GGA-PBE-relaxed structure, using Cu Kα, 1.54184 Å.

Peak list (8 most intense, 2θ from 10° to 90°, in order of rising 2θ)
d (Å), two_theta, I_rel
4.936, 18.0, 647
4.361, 20.4, 382
4.216, 21.1, 672
2.488, 36.1, 673
2.408, 37.3, 785
2.049, 44.2, 1000
1.565, 59.0, 361
1.556, 59.4, 340

Atomic structure:
Lattice parameters (Å, degrees): 5.1923 5.1923 9.8779 91.16 91.16 114.25
Sites, in units of the cell vectors:
Li1 0.0000 0.0000 0.0000
Li2 0.0630 0.4047 0.2408
Li3 0.2276 0.2479 0.7528
Li4 0.5953 0.9370 0.7592
Li5 0.7521 0.7724 0.2472
Nb1 0.1705 0.8295 0.5000
Nb2 0.6644 0.3356 0.0000
Cu1 0.3215 0.6785 0.0000
Cu2 0.4009 0.0877 0.2469
Cu3 0.5002 0.4998 0.5000
Cu4 0.8336 0.1664 0.5000
Cu5 0.9123 0.5991 0.7531
O1 0.1022 0.0954 0.3676
O2 0.2230 0.5617 0.6285
O3 0.3361 0.0109 0.8987
O4 0.3718 0.3966 0.1199
O5 0.4383 0.7770 0.3715
O6 0.4934 0.1631 0.6003
O7 0.6034 0.6282 0.8801
O8 0.7093 0.0803 0.1340
O9 0.8369 0.5066 0.3997
O10 0.9046 0.8978 0.6324
O11 0.9197 0.2907 0.8660
O12 0.9891 0.6639 0.1013

---

No. 6
The following is a theoretical PXRD pattern of LiNbCuO4. It was derived from a GGA-PBE-relaxed structure, using Cu Kα, 1.54184 Å.

Peak list (8 most intense, 2θ from 10° to 90°, in order of rising 2θ)
d (Å), two_theta, I_rel
5.819, 15.2, 270
4.990, 17.8, 272
3.138, 28.4, 830
2.909, 30.7, 339
2.827, 31.6, 888
2.513, 35.7, 1000
1.720, 53.2, 279
1.569, 58.9, 539

Atomic structure:
Lattice parameters (Å, degrees): 5.8188 5.8188 9.7038 90.00 90.00 90.00
Sites, in units of the cell vectors:
Li1 0.0000 0.2401 0.0000
Li2 0.0000 0.7599 0.5000
Li3 0.2401 0.0000 0.2500
Li4 0.7599 0.0000 0.7500
Nb1 0.2585 0.2585 0.6250
Nb2 0.2585 0.7415 0.8750
Nb3 0.7415 0.2585 0.3750
Nb4 0.7415 0.7415 0.1250
Cu1 0.2394 0.5000 0.2500
Cu2 0.5000 0.2394 0.0000
Cu3 0.5000 0.7606 0.5000
Cu4 0.7606 0.5000 0.7500
O1 0.0030 0.2585 0.2591
O2 0.0030 0.7415 0.2409
O3 0.2585 0.0030 0.9909
O4 0.2594 0.4810 0.9903
O5 0.2594 0.5190 0.5097
O6 0.2585 0.9970 0.5091
O7 0.4810 0.2594 0.2597
O8 0.4810 0.7406 0.2403
O9 0.5190 0.2594 0.7403
O10 0.5190 0.7406 0.7597
O11 0.7415 0.0030 0.0091
O12 0.7406 0.4810 0.0097
O13 0.7406 0.5190 0.4903
O14 0.7415 0.9970 0.4909
O15 0.9970 0.2585 0.7409
O16 0.9970 0.7415 0.7591

---

No. 7
The following is a theoretical PXRD pattern of LiNbCuO4. It was derived from a GGA-PBE-relaxed structure, using Cu Kα, 1.54184 Å.

Peak list (8 most intense, 2θ from 10° to 90°, in order of rising 2θ)
d (Å), two_theta, I_rel
6.224, 14.2, 363
3.881, 22.9, 608
3.434, 25.9, 407
3.006, 29.7, 379
2.637, 34.0, 1000
2.511, 35.8, 505
1.689, 54.3, 274
1.503, 61.7, 396

Atomic structure:
Lattice parameters (Å, degrees): 6.2240 6.2240 8.2335 90.00 90.00 90.00
Sites, in units of the cell vectors:
Li1 0.0000 0.2170 0.0000
Li2 0.0000 0.7830 0.5000
Li3 0.2170 0.0000 0.2500
Li4 0.7830 0.0000 0.7500
Nb1 0.2125 0.5000 0.2500
Nb2 0.5000 0.2125 0.0000
Nb3 0.5000 0.7875 0.5000
Nb4 0.7875 0.5000 0.7500
Cu1 0.2568 0.2568 0.6250
Cu2 0.2568 0.7432 0.8750
Cu3 0.7432 0.2568 0.3750
Cu4 0.7432 0.7432 0.1250
O1 0.0190 0.2628 0.2600
O2 0.0190 0.7372 0.2400
O3 0.2628 0.0190 0.9900
O4 0.2628 0.9810 0.5100
O5 0.2654 0.4757 0.0089
O6 0.2654 0.5243 0.4911
O7 0.4757 0.2654 0.2411
O8 0.4757 0.7346 0.2589
O9 0.5243 0.2654 0.7589
O10 0.5243 0.7346 0.7411
O11 0.7346 0.4757 0.9911
O12 0.7346 0.5243 0.5089
O13 0.7372 0.0190 0.0100
O14 0.7372 0.9810 0.4900
O15 0.9810 0.2628 0.7400
O16 0.9810 0.7372 0.7600